[1]
Starting from a structure optimized by DFT (GGA-PBE), the powder diffraction line list of CePr3Hg4 was simulated for Cu Kα (weighted mean of Kα1 and Kα2).
Peak positions follow from Bragg's law for the DFT cell and can differ from measured ones.

Top 6 peaks for 2θ = 5–70°, sorted by position:
d [Å], Position (°2θ), Rel. int.
2.729, 32.8, 100.0
1.935, 47.0, 6.2
1.927, 47.2, 12.3
1.578, 58.5, 12.9
1.574, 58.6, 25.7
1.365, 68.8, 8.0

Structure:
```
CePr3Hg4
1.0
3.854 0.000 0.000
0.000 3.854 0.000
0.000 0.000 15.481
Ce Pr Hg
1 3 4
Direct
0.000 0.000 0.000
0.000 0.000 0.249
0.000 0.000 0.500
0.000 0.000 0.751
0.500 0.500 0.123
0.500 0.500 0.374
0.500 0.500 0.626
0.500 0.500 0.877
```

[2]
Starting from a structure optimized by DFT (GGA-PBE), the powder diffraction line list of Sm3Ga4Au2 was simulated for Cu Kα (weighted mean of Kα1 and Kα2).
Peak positions follow from Bragg's law for the DFT cell and can differ from measured ones.

Top 6 peaks for 2θ = 5–70°, sorted by position:
d [Å], Position (°2θ), Rel. int.
2.713, 33.0, 100.0
2.680, 33.4, 73.9
2.659, 33.7, 30.1
2.279, 39.5, 46.0
2.266, 39.8, 87.8
1.746, 52.4, 28.0

Structure:
```
Sm3Ga4Au2
1.0
5.445 -2.279 0.000
5.445 2.279 0.000
-3.191 0.000 7.977
Sm Ga Au
3 4 2
Direct
0.000 0.000 0.000
0.327 0.327 0.344
0.673 0.673 0.656
0.026 0.026 0.364
0.259 0.259 0.924
0.741 0.741 0.076
0.974 0.974 0.636
0.398 0.398 0.729
0.602 0.602 0.271
```

[3]
Starting from a structure optimized by DFT (GGA-PBE), the powder diffraction line list of LiDyPa was simulated for Cu Kα (weighted mean of Kα1 and Kα2).
Peak positions follow from Bragg's law for the DFT cell and can differ from measured ones.

Top 6 peaks for 2θ = 5–70°, sorted by position:
d [Å], Position (°2θ), Rel. int.
11.229, 7.9, 100.0
3.839, 23.2, 10.9
3.743, 23.8, 10.6
2.807, 31.9, 14.7
2.509, 35.8, 21.1
2.440, 36.8, 18.5

Structure:
```
LiDyPa
1.0
0.000 2.804 11.229
2.709 0.000 11.229
2.709 2.804 0.000
Li Dy Pa
2 2 2
Direct
0.221 0.779 0.221
0.779 0.221 0.779
0.377 0.377 0.623
0.623 0.623 0.377
0.250 0.250 0.250
0.750 0.750 0.750
```